# CsSmCoF6
Simulated powder X-ray diffraction pattern, CuKα. Input: a GGA+U-relaxed structure.
No peak broadening, texture or thermal motion is included.

Cell and atoms:
```
CsSmCoF6
1.0
-3.7846 3.9897 5.2547
3.7846 -3.9897 5.2547
3.7846 3.9897 -5.2547
Cs Sm Co F
2 2 2 12
Cartesian
0.0000 1.9949 0.9560
3.7846 1.9949 4.2988
3.7846 0.0000 0.0000
0.0000 0.0000 5.2547
1.8923 1.9949 -2.6274
1.8923 -1.9949 2.6274
1.8489 -0.4944 1.2110
5.7203 -0.4944 1.2110
3.7846 1.9949 -1.8350
1.8489 3.4953 -1.2110
1.9357 -0.4944 4.0437
3.7846 1.9949 1.1111
0.0000 1.9949 4.1436
1.8489 4.4841 1.2110
1.9357 0.4944 6.4657
0.0000 1.9949 7.0897
-1.9357 4.4841 4.0437
1.9357 4.4841 4.0437
```

Main lines, by angle (2θ from 5° to 70°):
| 2theta | intensity |
| --- | --- |
| 16.9 | 28 |
| 23.5 | 53 |
| 26.6 | 100 |
| 27.4 | 38 |
| 27.8 | 30 |
| 28.1 | 41 |
| 29.1 | 46 |
| 36.1 | 21 |
| 43.3 | 29 |
| 47.9 | 52 |